Diffraction record for Na2PdSe2. The powder X-ray diffraction pattern is computed, not measured: it uses a DFT-relaxed cell (GGA-PBE, the Materials Project) and CuKα.
Neutral-atom scattering factors, no anomalous dispersion.

Crystal structure
```
Na2PdSe2
1.0
1.877 -5.418 0.000
1.877 5.418 0.000
0.000 0.000 11.410
Na Pd Se
4 2 4
direct
0.064 0.936 0.500
0.325 0.675 0.726
0.675 0.325 0.226
0.936 0.064 0.000
0.364 0.636 0.379
0.636 0.364 0.879
0.049 0.951 0.759
0.222 0.778 0.001
0.778 0.222 0.501
0.951 0.049 0.259
```

Peak list (10 most intense, 2θ from 15° to 90°, by angle)
d [Å]  Rel. int.
5.705  45
4.894  100
3.929  37
2.594  58
2.538  34
2.368  28
2.223  40
1.920  22
1.877  22
1.852  21